(1)
This entry pairs a crystal structure of Tl2Cd2O5 with its calculated XRD peak list. Radiation: Cu Kα (λ = 1.5418 Å). Structure: a DFT-relaxed cell (PBE, Alexandria).
No peak broadening, texture or thermal motion is included.

Most intense lines, 2θ = 10–90°, low angle first:
14.4 deg, d = 6.144 Å, intensity 20; 27.5 deg, d = 3.240 Å, intensity 29; 27.9 deg, d = 3.203 Å, intensity 47; 29.1 deg, d = 3.071 Å, intensity 72; 30.0 deg, d = 2.976 Å, intensity 100; 32.3 deg, d = 2.767 Å, intensity 87; 44.3 deg, d = 2.047 Å, intensity 30; 48.5 deg, d = 1.878 Å, intensity 58; 55.1 deg, d = 1.666 Å, intensity 31; 57.5 deg, d = 1.602 Å, intensity 56

```
data_Tl2Cd2O5
_chemical_formula_sum 'Tl6 Cd6 O15'
_cell_length_a 3.7559
_cell_length_b 3.7559
_cell_length_c 36.8652
_cell_angle_alpha 90.00
_cell_angle_beta 90.00
_cell_angle_gamma 120.00
_symmetry_space_group_name_H-M 'R 3 m'
_symmetry_Int_Tables_number 160
_symmetry_space_group_name_Hall 'R 3 -2"'
loop_
_atom_site_label
_atom_site_type_symbol
_atom_site_fract_x
_atom_site_fract_y
_atom_site_fract_z
_atom_site_occupancy
Tl1 Tl 0.0000 0.0000 0.0000 1
Tl2 Tl 0.0000 0.0000 0.1612 1
Cd1 Cd 0.0000 0.0000 0.5822 1
Cd2 Cd 0.0000 0.0000 0.7427 1
O1 O 0.0000 0.0000 0.0675 1
O2 O 0.0000 0.0000 0.2182 1
O3 O 0.0000 0.0000 0.6777 1
O4 O 0.0000 0.0000 0.8070 1
O5 O 0.0000 0.0000 0.9413 1
```

***

(2)
This entry pairs a crystal structure of Tl4Cd3O8 with its calculated XRD peak list. Radiation: Cu Kα (λ = 1.5418 Å). Structure: a DFT-relaxed cell (PBE, Alexandria).
No peak broadening, texture or thermal motion is included.

Most intense lines, 2θ = 10–90°, low angle first:
15.7 deg, d = 5.632 Å, intensity 27; 31.7 deg, d = 2.819 Å, intensity 100; 36.2 deg, d = 2.479 Å, intensity 28; 36.7 deg, d = 2.447 Å, intensity 27; 37.5 deg, d = 2.400 Å, intensity 26; 52.6 deg, d = 1.741 Å, intensity 19; 53.0 deg, d = 1.728 Å, intensity 9; 53.5 deg, d = 1.713 Å, intensity 18; 63.0 deg, d = 1.474 Å, intensity 15; 66.2 deg, d = 1.411 Å, intensity 9

```
data_Tl4Cd3O8
_chemical_formula_sum 'Tl8 Cd6 O16'
_cell_length_a 9.5991
_cell_length_b 9.7865
_cell_length_c 6.8846
_cell_angle_alpha 90.00
_cell_angle_beta 133.94
_cell_angle_gamma 90.00
_symmetry_space_group_name_H-M 'C 1 2/m 1'
_symmetry_Int_Tables_number 12
loop_
_symmetry_equiv_pos_as_xyz
'x,y,z'
'-x,-y,-z'
'-x,y,-z'
'x,-y,z'
'x+1/2,y+1/2,z'
'-x+1/2,-y+1/2,-z'
'-x+1/2,y+1/2,-z'
'x+1/2,-y+1/2,z'
loop_
_atom_site_label
_atom_site_type_symbol
_atom_site_fract_x
_atom_site_fract_y
_atom_site_fract_z
_atom_site_occupancy
Tl1 Tl 0.0000 0.0000 0.0000 1
Tl2 Tl 0.0000 0.5000 0.5000 1
Tl3 Tl 0.2500 0.2500 0.0000 1
Cd1 Cd 0.0000 0.0000 0.5000 1
Cd2 Cd 0.2500 0.2500 0.5000 1
O1 O 0.0000 0.2357 0.0000 1
O2 O 0.0000 0.2462 0.5000 1
O3 O 0.2336 0.0000 0.4655 1
O4 O 0.2355 0.0000 0.9947 1
```